HgSb2As: simulated XRD peak list (Cu Kα (λ = 1.5418 Å)), based on a cell relaxed with PBE.

Most intense lines, 15 to 90 degrees two-theta, low angle first:
two_theta	d (Å)	I (rel.)
29.07	3.071	42
29.25	3.054	100
39.99	2.255	21
41.33	2.185	15
41.93	2.155	17
43.62	2.075	18

a = 4.1503 Å, b = 7.6594 Å, c = 7.6928 Å
α = 78.00°, β = 89.74°, γ = 74.34°
Element x y z (fractional)
Hg 0.1752 0.1529 0.0278
Hg 0.8248 0.8471 0.9722
Sb 0.3031 0.8954 0.4310
Sb 0.4412 0.6130 0.7698
Sb 0.5588 0.3870 0.2302
Sb 0.6969 0.1046 0.5690
As 0.0433 0.4108 0.6679
As 0.9567 0.5892 0.3321

***

HgSb2As: simulated XRD peak list (Cu Kα (λ = 1.5418 Å)), based on a cell relaxed with PBE.

Most intense lines, 15 to 90 degrees two-theta, low angle first:
two_theta	d (Å)	I (rel.)
33.36	2.686	100
38.60	2.333	17
38.76	2.323	33
55.85	1.646	23
66.53	1.406	13
66.75	1.401	27

a = 5.7059 Å, b = 5.7059 Å, c = 5.7059 Å
α = 131.95°, β = 131.95°, γ = 70.31°
Element x y z (fractional)
Hg 0.0000 0.0000 0.0000
Sb 0.2500 0.7500 0.5000
Sb 0.5000 0.5000 0.0000
As 0.7500 0.2500 0.5000

***

HgSb2As: simulated XRD peak list (Cu Kα (λ = 1.5418 Å)), based on a cell relaxed with PBE.

Most intense lines, 15 to 90 degrees two-theta, low angle first:
two_theta	d (Å)	I (rel.)
29.34	3.044	100
29.56	3.022	49
39.69	2.271	20
41.29	2.187	19
41.89	2.157	19
42.39	2.132	17

a = 4.5432 Å, b = 7.1971 Å, c = 7.4209 Å
α = 68.30°, β = 89.05°, γ = 89.11°
Element x y z (fractional)
Hg 0.2485 0.3945 0.1309
Hg 0.7515 0.6055 0.8691
Sb 0.2504 0.8784 0.6154
Sb 0.2898 0.1378 0.8664
Sb 0.7102 0.8622 0.1336
Sb 0.7496 0.1216 0.3846
As 0.3151 0.6181 0.3871
As 0.6849 0.3819 0.6129

***

Hg2AsSe: simulated XRD peak list (Cu Kα (λ = 1.5418 Å)), based on a cell relaxed with PBE.

Most intense lines, 15 to 90 degrees two-theta, low angle first:
two_theta	d (Å)	I (rel.)
24.83	3.586	27
26.33	3.385	54
30.41	2.940	27
33.73	2.657	100
51.38	1.778	31
51.98	1.759	25

a = 3.7935 Å, b = 3.7935 Å, c = 10.7589 Å
α = 90.00°, β = 90.00°, γ = 126.34°
Element x y z (fractional)
Hg 0.0000 0.0000 0.0000
Hg 0.5000 0.5000 0.2822
As 0.0000 0.0000 0.5496
Se 0.5000 0.5000 0.7063

***

HgAsSe2: simulated XRD peak list (Cu Kα (λ = 1.5418 Å)), based on a cell relaxed with PBE.

Most intense lines, 15 to 90 degrees two-theta, low angle first:
two_theta	d (Å)	I (rel.)
22.65	3.926	22
28.87	3.093	100
32.03	2.795	37
41.28	2.187	30
41.54	2.174	19
45.93	1.976	24

a = 5.6472 Å, b = 4.3995 Å, c = 8.7861 Å
α = 90.00°, β = 98.21°, γ = 90.00°
Element x y z (fractional)
Hg 0.2172 0.0000 0.3761
Hg 0.7828 0.5000 0.6239
As 0.2930 0.1418 0.8720
As 0.7070 0.6418 0.1280
Se 0.2814 0.5200 0.0880
Se 0.2869 0.4753 0.6462
Se 0.7131 0.9753 0.3538
Se 0.7186 0.0200 0.9120

***

Hg2AsSe: simulated XRD peak list (Cu Kα (λ = 1.5418 Å)), based on a cell relaxed with PBE.

Most intense lines, 15 to 90 degrees two-theta, low angle first:
two_theta	d (Å)	I (rel.)
26.03	3.423	15
28.12	3.173	13
30.80	2.903	100
37.80	2.380	16
43.61	2.075	25
44.67	2.029	25

a = 2.8991 Å, b = 3.6685 Å, c = 9.5268 Å
α = 90.00°, β = 92.13°, γ = 90.00°
Element x y z (fractional)
Hg 0.0000 0.0000 0.0000
Hg 0.0284 0.5000 0.7267
As 0.9984 0.5000 0.2538
Se 0.0235 0.0000 0.4477

***

Hg2AsSe: simulated XRD peak list (Cu Kα (λ = 1.5418 Å)), based on a cell relaxed with PBE.

Most intense lines, 15 to 90 degrees two-theta, low angle first:
two_theta	d (Å)	I (rel.)
27.82	3.206	97
35.93	2.499	100
38.19	2.357	44
38.45	2.341	42
45.86	1.979	27
54.65	1.679	31

a = 2.8516 Å, b = 6.4128 Å, c = 5.4279 Å
α = 90.00°, β = 90.53°, γ = 90.00°
Element x y z (fractional)
Hg 0.2304 0.0000 0.2510
Hg 0.7696 0.0000 0.7490
As 0.0000 0.5000 0.0000
Se 0.0000 0.5000 0.5000

***

Sn2HgAs2Se: simulated XRD peak list (Cu Kα (λ = 1.5418 Å)), based on a cell relaxed with PBE.

Most intense lines, 15 to 90 degrees two-theta, low angle first:
two_theta	d (Å)	I (rel.)
25.46	3.499	84
25.82	3.450	90
26.68	3.342	100
35.12	2.555	65
37.47	2.400	52
46.37	1.958	61

a = 8.4066 Å, b = 8.4066 Å, c = 6.6830 Å
α = 90.00°, β = 90.00°, γ = 48.46°
Element x y z (fractional)
Sn 0.0231 0.6385 0.5000
Sn 0.3615 0.9769 0.5000
Sn 0.6385 0.0231 0.0000
Sn 0.9769 0.3615 0.0000
Hg 0.2894 0.7106 0.0006
Hg 0.7106 0.2894 0.5006
As 0.0241 0.6466 0.0933
As 0.3534 0.9759 0.0933
As 0.6466 0.0241 0.5933
As 0.9759 0.3534 0.5933
Se 0.2952 0.7048 0.5723
Se 0.7048 0.2952 0.0723

***

SiSn2HgAs4: simulated XRD peak list (Cu Kα (λ = 1.5418 Å)), based on a cell relaxed with PBE.

Most intense lines, 15 to 90 degrees two-theta, low angle first:
two_theta	d (Å)	I (rel.)
16.32	5.432	28
24.98	3.564	79
28.05	3.182	100
34.42	2.606	64
44.95	2.017	51
46.42	1.956	56

a = 7.1442 Å, b = 6.4369 Å, c = 6.6917 Å
α = 65.90°, β = 55.33°, γ = 58.76°
Element x y z (fractional)
Si 0.0000 0.0000 0.0000
Sn 0.2492 0.2492 0.2508
Sn 0.7492 0.7492 0.7508
Hg 0.4499 0.4499 0.5501
As 0.0502 0.6252 0.9498
As 0.2937 0.8520 0.1480
As 0.6252 0.0502 0.3748
As 0.8520 0.2937 0.7063

***

Sr6Hg5As: simulated XRD peak list (Cu Kα (λ = 1.5418 Å)), based on a cell relaxed with PBE.

Most intense lines, 15 to 90 degrees two-theta, low angle first:
two_theta	d (Å)	I (rel.)
31.65	2.827	20
31.93	2.803	100
45.57	1.991	14
56.54	1.628	14
56.89	1.618	23
66.74	1.402	12

a = 9.7637 Å, b = 9.7637 Å, c = 5.6068 Å
α = 106.63°, β = 106.63°, γ = 47.69°
Element x y z (fractional)
Sr 0.0820 0.5954 0.3387
Sr 0.2389 0.7611 0.0000
Sr 0.4046 0.9180 0.6613
Sr 0.5954 0.0820 0.3387
Sr 0.7611 0.2389 0.0000
Sr 0.9180 0.4046 0.6613
Hg 0.1789 0.1789 0.1791
Hg 0.3348 0.3348 0.8343
Hg 0.5000 0.5000 0.5000
Hg 0.6652 0.6652 0.1657
Hg 0.8211 0.8211 0.8209
As 0.0000 0.0000 0.5000

***

Tm4HgTe2As: simulated XRD peak list (Cu Kα (λ = 1.5418 Å)), based on a cell relaxed with PBE.

Most intense lines, 15 to 90 degrees two-theta, low angle first:
two_theta	d (Å)	I (rel.)
29.66	3.012	51
29.84	2.995	100
41.37	2.182	19
42.35	2.134	39
42.80	2.113	35
53.96	1.699	19

a = 7.3872 Å, b = 4.1158 Å, c = 7.4921 Å
α = 90.00°, β = 108.15°, γ = 90.00°
Element x y z (fractional)
Tm 0.2223 0.0000 0.2347
Tm 0.2295 0.5000 0.7499
Tm 0.7705 0.5000 0.2501
Tm 0.7777 0.0000 0.7653
Hg 0.0000 0.0000 0.5000
Te 0.5000 0.0000 0.0000
Te 0.5000 0.5000 0.5000
As 0.0000 0.5000 0.0000

***

Tl12HgAs6: simulated XRD peak list (Cu Kα (λ = 1.5418 Å)), based on a cell relaxed with PBE.

Most intense lines, 15 to 90 degrees two-theta, low angle first:
two_theta	d (Å)	I (rel.)
29.65	3.013	85
32.09	2.790	100
34.37	2.609	40
51.02	1.790	34
54.17	1.693	37
62.97	1.476	27

a = 9.0394 Å, b = 9.0394 Å, c = 9.0394 Å
α = 109.47°, β = 109.47°, γ = 109.47°
Element x y z (fractional)
Tl 0.0841 0.8045 0.2796
Tl 0.1955 0.2796 0.4750
Tl 0.1955 0.7204 0.9159
Tl 0.2796 0.0841 0.8045
Tl 0.2796 0.4750 0.1955
Tl 0.4750 0.1955 0.2796
Tl 0.5250 0.8045 0.7204
Tl 0.7204 0.5250 0.8045
Tl 0.7204 0.9159 0.1955
Tl 0.8045 0.2796 0.0841
Tl 0.8045 0.7204 0.5250
Tl 0.9159 0.1955 0.7204
Hg 0.0000 0.0000 0.0000
As 0.1168 0.6168 0.5000
As 0.3832 0.5000 0.8832
As 0.5000 0.1168 0.6168
As 0.5000 0.8832 0.3832
As 0.6168 0.5000 0.1168
As 0.8832 0.3832 0.5000

***

Q: What is the formula in the fourth record?
A: Hg2AsSe